Diffraction record for VPO5. The XRD peak list is theoretical, not measured: it uses DFT lattice parameters and positions (GGA+U) and a wavelength of 1.5418 Å.
Intensities are scaled so that the largest is 100.

Crystal structure
Unit cell a=6.1142 b=6.1142 c=4.7849 alpha=90.00 beta=90.00 gamma=90.00
Sites, in units of the cell vectors:
1 V 0.2500 0.2500 0.2273
2 V 0.7500 0.7500 0.7727
3 P 0.2500 0.7500 0.5000
4 P 0.7500 0.2500 0.5000
5 O 0.0503 0.7927 0.6885
6 O 0.2073 0.5503 0.3115
7 O 0.2500 0.2500 0.8919
8 O 0.2927 0.9497 0.3115
9 O 0.4497 0.7073 0.6885
10 O 0.5503 0.2927 0.3115
11 O 0.7073 0.0503 0.6885
12 O 0.7500 0.7500 0.1081
13 O 0.7927 0.4497 0.6885
14 O 0.9497 0.2073 0.3115

Main lines, sorted by position (2θ from 10° to 90°):
- 2θ = 18.54°, I = 18, hkl 0 0 1
- 2θ = 23.61°, I = 100, hkl 1 0 1
- 2θ = 27.81°, I = 64, hkl 1 1 1
- 2θ = 29.21°, I = 80, hkl 2 0 0
- 2θ = 43.22°, I = 19, hkl 1 1 2
- 2θ = 47.00°, I = 13, hkl 3 1 0
- 2θ = 48.55°, I = 24, hkl 3 0 1
- 2θ = 50.94°, I = 11, hkl 1 3 1
- 2θ = 60.58°, I = 12, hkl 4 0 0
- 2θ = 61.68°, I = 25, hkl 3 1 2